Simulated powder X-ray diffraction pattern
Compound: NiRh2Se4
Radiation: Cu Kα, 1.54184 Å
Structure: a DFT-relaxed cell (GGA-PBE, the Materials Project)
No peak broadening, texture or thermal motion is included.

Top 10 peaks for 10 to 90 degrees two-theta, sorted by position:
- d = 5.367 Å, 2θ 16.52, I = 28
- d = 2.784 Å, 2θ 32.15, I = 100
- d = 2.705 Å, 2θ 33.11, I = 50
- d = 2.092 Å, 2θ 43.26, I = 18
- d = 2.080 Å, 2θ 43.52, I = 42
- d = 2.044 Å, 2θ 44.32, I = 46
- d = 2.021 Å, 2θ 44.85, I = 18
- d = 1.864 Å, 2θ 48.85, I = 30
- d = 1.850 Å, 2θ 49.24, I = 56
- d = 1.535 Å, 2θ 60.29, I = 17

Structural model:
Unit cell a=6.430 b=6.430 c=6.398 alpha=117.93 beta=117.93 gamma=33.71
Fractional positions:
Ni 0.000 0.000 0.000
Rh 0.264 0.264 0.283
Rh 0.736 0.736 0.717
Se 0.116 0.116 0.448
Se 0.368 0.368 0.022
Se 0.632 0.632 0.978
Se 0.884 0.884 0.552